Calculated powder diffractogram of Cs2VH5 for Cu Kα, from a crystal structure in Alexandria, relaxed with GGA-PBE.
Intensities are scaled so that the largest is 100.

Top 12 peaks for 10° ≤ 2θ ≤ 90°, in order of falling intensity:
| 2θ/deg | I_rel |
| --- | --- |
| 27.27 | 100 |
| 28.91 | 58 |
| 18.41 | 38 |
| 19.97 | 31 |
| 28.41 | 30 |
| 20.69 | 29 |
| 50.23 | 23 |
| 34.00 | 18 |
| 34.97 | 17 |
| 37.31 | 15 |
| 47.13 | 14 |
| 48.61 | 13 |

Cell and atoms:
Lattice parameters (Å, degrees): 6.1837 6.1837 6.3258 116.74 116.74 91.97
Sites, in units of the cell vectors:
Cs 0.2473 0.7527 0.0000
Cs 0.7527 0.2473 0.0000
V 0.5273 0.5273 0.5074
H 0.2462 0.5971 0.4687
H 0.3325 0.3325 0.1360
H 0.5971 0.2462 0.4687
H 0.6982 0.6982 0.8832
H 0.7011 0.7011 0.4536